Diffraction record for Ni3Te2S2. The powder XRD pattern is simulated, not measured: it uses a crystal structure in OQMD, relaxed with PBE and λ = 1.5418 Å (Cu Kα).
No peak broadening, texture or thermal motion is included.

Most intense lines, 10° ≤ 2θ ≤ 90°, sorted by position:
15.75 deg, intensity 38.2; 22.34 deg, intensity 30.3; 31.81 deg, intensity 100.0; 35.68 deg, intensity 33.7; 39.22 deg, intensity 87.4; 42.51 deg, intensity 29.7; 45.60 deg, intensity 68.3; 56.67 deg, intensity 35.9; 66.46 deg, intensity 33.9; 79.98 deg, intensity 22.6

Crystal structure
Unit cell a=6.891 b=6.891 c=6.891 alpha=109.47 beta=109.47 gamma=109.47
Positions (direct):
1 Ni 0.216 0.966 0.250
2 Ni 0.250 0.216 0.966
3 Ni 0.284 0.534 0.750
4 Ni 0.534 0.750 0.284
5 Ni 0.750 0.284 0.534
6 Ni 0.966 0.250 0.216
7 Te 0.000 0.029 0.500
8 Te 0.029 0.500 0.000
9 Te 0.471 0.471 0.471
10 Te 0.500 0.000 0.029
11 S 0.000 0.550 0.500
12 S 0.500 0.000 0.550
13 S 0.550 0.500 0.000
14 S 0.950 0.950 0.950


Diffraction record for Cu2Ag3. The powder XRD pattern is simulated, not measured: it uses a crystal structure in OQMD, relaxed with PBE and λ = 1.5418 Å (Cu Kα).
No peak broadening, texture or thermal motion is included.

Most intense lines, 10° ≤ 2θ ≤ 90°, sorted by position:
39.32 deg, intensity 96.7; 39.48 deg, intensity 100.0; 44.77 deg, intensity 66.8; 47.87 deg, intensity 28.0; 65.40 deg, intensity 10.4; 67.61 deg, intensity 35.6; 78.73 deg, intensity 19.9; 79.05 deg, intensity 22.6; 83.48 deg, intensity 10.3; 85.00 deg, intensity 10.2

Crystal structure
Unit cell a=2.854 b=3.801 c=14.360 alpha=90.00 beta=90.00 gamma=90.00
Positions (direct):
1 Cu 0.000 0.000 0.098
2 Cu 0.000 0.000 0.291
3 Cu 0.000 0.000 0.709
4 Cu 0.000 0.000 0.902
5 Ag 0.000 0.000 0.500
6 Ag 0.500 0.500 0.000
7 Ag 0.500 0.500 0.195
8 Ag 0.500 0.500 0.389
9 Ag 0.500 0.500 0.611
10 Ag 0.500 0.500 0.805


Diffraction record for LuBe2Pb. The powder XRD pattern is simulated, not measured: it uses a crystal structure in OQMD, relaxed with PBE and λ = 1.5418 Å (Cu Kα).
No peak broadening, texture or thermal motion is included.

Most intense lines, 10° ≤ 2θ ≤ 90°, sorted by position:
22.91 deg, intensity 100.0; 26.52 deg, intensity 0.7; 37.85 deg, intensity 96.1; 44.70 deg, intensity 54.0; 54.60 deg, intensity 16.9; 59.97 deg, intensity 22.9; 68.35 deg, intensity 34.9; 73.14 deg, intensity 17.2; 80.88 deg, intensity 11.2; 85.43 deg, intensity 17.8

Crystal structure
Unit cell a=4.754 b=4.754 c=4.754 alpha=60.00 beta=60.00 gamma=60.00
Positions (direct):
1 Lu 0.000 0.000 0.000
2 Be 0.250 0.250 0.250
3 Be 0.500 0.500 0.500
4 Pb 0.750 0.750 0.750


Diffraction record for Ho2Ge4PdO12. The powder XRD pattern is simulated, not measured: it uses a crystal structure in OQMD, relaxed with PBE and λ = 1.5418 Å (Cu Kα).
No peak broadening, texture or thermal motion is included.

Most intense lines, 10° ≤ 2θ ≤ 90°, sorted by position:
12.19 deg, intensity 22.9; 21.67 deg, intensity 23.9; 25.46 deg, intensity 58.5; 28.21 deg, intensity 100.0; 30.09 deg, intensity 46.9; 31.69 deg, intensity 60.5; 34.29 deg, intensity 52.0; 34.92 deg, intensity 22.3; 37.09 deg, intensity 26.2; 58.37 deg, intensity 21.0

Crystal structure
Unit cell a=4.921 b=7.173 c=7.840 alpha=68.03 beta=88.00 gamma=77.27
Positions (direct):
1 Ho 0.047 0.268 0.451
2 Ho 0.953 0.732 0.549
3 Ge 0.414 0.894 0.794
4 Ge 0.451 0.668 0.222
5 Ge 0.549 0.332 0.778
6 Ge 0.586 0.106 0.206
7 Pd 0.000 0.500 0.000
8 O 0.214 0.926 0.603
9 O 0.216 0.568 0.384
10 O 0.249 0.253 0.196
11 O 0.267 0.838 0.011
12 O 0.273 0.524 0.796
13 O 0.402 0.169 0.699
14 O 0.598 0.831 0.301
15 O 0.727 0.476 0.204
16 O 0.733 0.162 0.989
17 O 0.751 0.747 0.804
18 O 0.784 0.432 0.616
19 O 0.786 0.074 0.397


Diffraction record for BiPd15. The powder XRD pattern is simulated, not measured: it uses a crystal structure in OQMD, relaxed with PBE and λ = 1.5418 Å (Cu Kα).
No peak broadening, texture or thermal motion is included.

Most intense lines, 10° ≤ 2θ ≤ 90°, sorted by position:
37.10 deg, intensity 19.2; 39.27 deg, intensity 100.0; 40.00 deg, intensity 48.2; 40.05 deg, intensity 73.6; 43.82 deg, intensity 14.6; 45.72 deg, intensity 64.3; 46.88 deg, intensity 38.6; 67.54 deg, intensity 39.6; 79.70 deg, intensity 23.9; 82.33 deg, intensity 13.0

Crystal structure
Unit cell a=4.763 b=34.148 c=4.766 alpha=90.00 beta=108.93 gamma=90.00
Positions (direct):
1 Bi 0.000 0.183 0.250
2 Bi 0.000 0.817 0.750
3 Pd 0.000 0.228 0.750
4 Pd 0.000 0.271 0.250
5 Pd 0.000 0.313 0.750
6 Pd 0.000 0.354 0.250
7 Pd 0.000 0.396 0.750
8 Pd 0.000 0.438 0.250
9 Pd 0.000 0.479 0.750
10 Pd 0.000 0.521 0.250
11 Pd 0.000 0.562 0.750
12 Pd 0.000 0.604 0.250
13 Pd 0.000 0.646 0.750
14 Pd 0.000 0.687 0.250
15 Pd 0.000 0.729 0.750
16 Pd 0.000 0.772 0.250
17 Pd 0.500 0.187 0.750
18 Pd 0.500 0.228 0.250
19 Pd 0.500 0.271 0.750
20 Pd 0.500 0.313 0.250
21 Pd 0.500 0.354 0.750
22 Pd 0.500 0.396 0.250
23 Pd 0.500 0.438 0.750
24 Pd 0.500 0.479 0.250
25 Pd 0.500 0.521 0.750
26 Pd 0.500 0.562 0.250
27 Pd 0.500 0.604 0.750
28 Pd 0.500 0.646 0.250
29 Pd 0.500 0.687 0.750
30 Pd 0.500 0.729 0.250
31 Pd 0.500 0.772 0.750
32 Pd 0.500 0.813 0.250


Diffraction record for CsHo2CuSe4. The powder XRD pattern is simulated, not measured: it uses a crystal structure in OQMD, relaxed with PBE and λ = 1.5418 Å (Cu Kα).
No peak broadening, texture or thermal motion is included.

Most intense lines, 10° ≤ 2θ ≤ 90°, sorted by position:
13.58 deg, intensity 27.4; 22.07 deg, intensity 55.5; 27.49 deg, intensity 27.1; 28.87 deg, intensity 93.1; 30.83 deg, intensity 100.0; 33.30 deg, intensity 33.2; 38.34 deg, intensity 31.9; 42.16 deg, intensity 59.2; 42.29 deg, intensity 28.4; 43.44 deg, intensity 40.9

Crystal structure
Unit cell a=7.596 b=7.596 c=14.486 alpha=90.00 beta=90.00 gamma=148.17
Positions (direct):
1 Cs 0.108 0.892 0.750
2 Cs 0.892 0.108 0.250
3 Ho 0.366 0.634 0.563
4 Ho 0.366 0.634 0.937
5 Ho 0.634 0.366 0.063
6 Ho 0.634 0.366 0.437
7 Cu 0.165 0.835 0.250
8 Cu 0.835 0.165 0.750
9 Se 0.000 0.000 0.000
10 Se 0.000 0.000 0.500
11 Se 0.257 0.743 0.106
12 Se 0.257 0.743 0.394
13 Se 0.423 0.577 0.750
14 Se 0.577 0.423 0.250
15 Se 0.743 0.257 0.606
16 Se 0.743 0.257 0.894


Please write out number 3 again, unchanged.
Diffraction record for LuBe2Pb. The powder XRD pattern is simulated, not measured: it uses a crystal structure in OQMD, relaxed with PBE and λ = 1.5418 Å (Cu Kα).
No peak broadening, texture or thermal motion is included.

Most intense lines, 10° ≤ 2θ ≤ 90°, sorted by position:
22.91 deg, intensity 100.0; 26.52 deg, intensity 0.7; 37.85 deg, intensity 96.1; 44.70 deg, intensity 54.0; 54.60 deg, intensity 16.9; 59.97 deg, intensity 22.9; 68.35 deg, intensity 34.9; 73.14 deg, intensity 17.2; 80.88 deg, intensity 11.2; 85.43 deg, intensity 17.8

Crystal structure
Unit cell a=4.754 b=4.754 c=4.754 alpha=60.00 beta=60.00 gamma=60.00
Positions (direct):
1 Lu 0.000 0.000 0.000
2 Be 0.250 0.250 0.250
3 Be 0.500 0.500 0.500
4 Pb 0.750 0.750 0.750